Starting from DFT lattice parameters and positions (PBE+U), the X-ray powder pattern of TiTlWO5F was computed for copper Kα.
Kinematic intensities with the Lorentz-polarization factor, no thermal factor.

Peak list (12 most intense, 2θ from 15° to 90°, sorted by position)
2θ/deg, d/Å, intensity, (hkl)
23.69, 3.757, 34, 0 0 2
24.27, 3.667, 50, 1 2 1
28.05, 3.181, 36, 1 1 2
28.36, 3.147, 100, 2 1 1
28.77, 3.104, 77, 0 3 1
29.50, 3.028, 23, 0 2 2
29.89, 2.989, 38, 2 2 0
42.00, 2.151, 21, 1 2 3
44.94, 2.017, 19, 0 3 3
49.73, 1.833, 31, 2 4 2
51.64, 1.770, 17, 2 3 3
58.24, 1.584, 24, 4 3 1

Structural model:
```
data_TiTlWO5F
_chemical_formula_sum 'Ti4 Tl4 W4 O20 F4'
_cell_length_a 7.3679
_cell_length_b 10.2287
_cell_length_c 7.5130
_cell_angle_alpha 90.00
_cell_angle_beta 90.00
_cell_angle_gamma 90.00
_space_group_name_H-M_alt 'I m a 2'
_space_group_IT_number 46
loop_
_space_group_symop_operation_xyz
'x,y,z'
'-x,-y,z'
'-x+1/2,y,z'
'x+1/2,-y,z'
'x+1/2,y+1/2,z+1/2'
'-x+1/2,-y+1/2,z+1/2'
'-x,y+1/2,z+1/2'
'x,-y+1/2,z+1/2'
loop_
_atom_site_label
_atom_site_type_symbol
_atom_site_fract_x
_atom_site_fract_y
_atom_site_fract_z
Ti1 Ti 0.2500 0.2370 0.0000
Tl1 Tl 0.2500 0.6439 0.6463
W1 W 0.0000 0.0000 0.7392
O1 O 0.0656 0.1230 0.9404
O2 O 0.0666 0.1277 0.5764
O3 O 0.2500 0.5674 0.2579
F1 F 0.2500 0.1799 0.2581
```